Starting from a GGA+U-relaxed structure, the X-ray powder pattern of NaMn3AgP3O12 was calculated for Cu Kα, 1.54184 Å.
Intensities are scaled so that the largest is 100.

abc: 8.8608 8.8608 6.6783
angles: 106.93 106.93 93.34
Element x y z (fractional)
Na  0.0000  0.0000  0.0000
Na  0.0000  0.0000  0.5000
Mn  0.1193  0.4374  0.8651
Mn  0.2321  0.7679  0.7500
Mn  0.4374  0.1193  0.3651
Mn  0.5626  0.8807  0.6349
Mn  0.7679  0.2321  0.2500
Mn  0.8807  0.5626  0.1349
Ag  0.4889  0.5111  0.2500
Ag  0.5111  0.4889  0.7500
P  0.1530  0.3741  0.3719
P  0.2149  0.7851  0.2500
P  0.3741  0.1530  0.8719
P  0.6259  0.8470  0.1281
P  0.7851  0.2149  0.7500
P  0.8470  0.6259  0.6281
O  0.0284  0.2276  0.3228
O  0.0409  0.7634  0.2556
O  0.0980  0.4526  0.1866
O  0.1722  0.5015  0.5998
O  0.2276  0.0284  0.8228
O  0.2366  0.9591  0.2444
O  0.2397  0.6728  0.0375
O  0.3218  0.3264  0.3795
O  0.3264  0.3218  0.8795
O  0.3272  0.7603  0.4625
O  0.4526  0.0980  0.6866
O  0.4985  0.8278  0.9002
O  0.5015  0.1722  0.0998
O  0.5474  0.9020  0.3134
O  0.6728  0.2397  0.5375
O  0.6736  0.6782  0.1205
O  0.6782  0.6736  0.6205
O  0.7603  0.3272  0.9625
O  0.7634  0.0409  0.7556
O  0.7724  0.9716  0.1772
O  0.8278  0.4985  0.4002
O  0.9020  0.5474  0.8134
O  0.9591  0.2366  0.7444
O  0.9716  0.7724  0.6772

Principal peaks in the range 10 to 90 degrees two-theta, in order of rising 2θ:
| Position (°2θ) | d (Å) | Rel. int. |
| --- | --- | --- |
| 10.6 | 8.373 | 86 |
| 29.5 | 3.024 | 29 |
| 30.1 | 2.973 | 52 |
| 32.2 | 2.781 | 100 |
| 32.5 | 2.753 | 45 |
| 34.3 | 2.615 | 59 |
| 34.6 | 2.589 | 33 |
| 41.6 | 2.172 | 35 |